1.
Starting from DFT lattice parameters and positions (PBE), the powder diffractogram of Pm6InCo2 was simulated for Cu Kα.

Most intense lines, 5° ≤ 2θ ≤ 70°, by angle:
two_theta	I_rel
26.53	28.2
29.29	18.3
29.47	18.8
31.67	100.0
34.17	39.0
35.86	49.8

Crystal structure
a = 5.841 Å, b = 5.841 Å, c = 9.258 Å
α = 102.17°, β = 102.17°, γ = 50.77°
Positions (direct):
Pm  0.027  0.027  0.349
Pm  0.295  0.295  0.661
Pm  0.332  0.332  0.124
Pm  0.668  0.668  0.876
Pm  0.705  0.705  0.339
Pm  0.973  0.973  0.651
In  0.000  0.000  0.000
Co  0.387  0.387  0.414
Co  0.613  0.613  0.586


2.
Starting from DFT lattice parameters and positions (PBE), the powder diffractogram of Nd6Al3Fe11 was simulated for Cu Kα.

Most intense lines, 5° ≤ 2θ ≤ 70°, by angle:
two_theta	I_rel
7.59	59.3
27.17	81.1
31.27	100.0
35.04	69.7
38.06	54.4
46.39	40.3

Crystal structure
a = 12.983 Å, b = 12.983 Å, c = 12.983 Å
α = 143.65°, β = 143.65°, γ = 52.34°
Positions (direct):
Nd  0.000  0.000  0.000
Nd  0.082  0.582  0.837
Nd  0.126  0.626  0.171
Nd  0.212  0.212  0.000
Nd  0.245  0.082  0.500
Nd  0.456  0.956  0.829
Nd  0.500  0.500  0.000
Nd  0.582  0.745  0.500
Nd  0.626  0.456  0.500
Nd  0.712  0.712  0.000
Nd  0.745  0.245  0.163
Nd  0.956  0.126  0.500
Al  0.131  0.392  0.500
Al  0.355  0.355  0.000
Al  0.392  0.892  0.262
Al  0.631  0.131  0.738
Al  0.855  0.855  0.000
Al  0.892  0.631  0.500
Fe  0.038  0.896  0.721
Fe  0.087  0.813  0.500
Fe  0.107  0.607  0.500
Fe  0.175  0.317  0.279
Fe  0.225  0.725  0.851
Fe  0.313  0.587  0.500
Fe  0.317  0.038  0.142
Fe  0.344  0.844  0.858
Fe  0.373  0.225  0.500
Fe  0.396  0.538  0.721
Fe  0.486  0.344  0.500
Fe  0.538  0.817  0.142
Fe  0.587  0.087  0.275
Fe  0.607  0.107  0.500
Fe  0.675  0.396  0.858
Fe  0.725  0.873  0.500
Fe  0.813  0.313  0.725
Fe  0.817  0.675  0.279
Fe  0.844  0.986  0.500
Fe  0.873  0.373  0.149
Fe  0.896  0.175  0.858
Fe  0.986  0.486  0.142


3.
Starting from DFT lattice parameters and positions (PBE), the powder diffractogram of Nd2SmHoTm2 was simulated for Cu Kα.

Most intense lines, 5° ≤ 2θ ≤ 70°, by angle:
two_theta	I_rel
31.30	91.6
31.67	100.0
45.13	33.6
56.18	35.2
56.41	19.6
62.14	29.2

Crystal structure
a = 7.040 Å, b = 9.786 Å, c = 5.650 Å
α = 90.00°, β = 90.00°, γ = 90.00°
Positions (direct):
Nd  0.248  0.167  0.000
Nd  0.252  0.667  0.500
Nd  0.748  0.333  0.500
Nd  0.752  0.833  0.000
Sm  0.000  0.500  0.000
Sm  0.500  0.000  0.500
Ho  0.000  0.000  0.500
Ho  0.500  0.500  0.000
Tm  0.249  0.333  0.500
Tm  0.251  0.833  0.000
Tm  0.749  0.167  0.000
Tm  0.751  0.667  0.500


4.
Starting from DFT lattice parameters and positions (PBE), the powder diffractogram of Cs2HoCr3Cl12 was simulated for Cu Kα.

Most intense lines, 5° ≤ 2θ ≤ 70°, by angle:
two_theta	I_rel
22.45	94.2
22.72	100.0
23.84	50.7
29.88	45.0
36.10	43.0
39.54	69.2

Crystal structure
a = 9.271 Å, b = 9.271 Å, c = 9.271 Å
α = 58.91°, β = 58.91°, γ = 58.91°
Positions (direct):
Cs  0.107  0.107  0.107
Cs  0.893  0.893  0.893
Ho  0.500  0.500  0.500
Cr  0.000  0.500  0.500
Cr  0.500  0.000  0.500
Cr  0.500  0.500  0.000
Cl  0.154  0.583  0.583
Cl  0.187  0.187  0.580
Cl  0.187  0.580  0.187
Cl  0.417  0.417  0.846
Cl  0.417  0.846  0.417
Cl  0.420  0.813  0.813
Cl  0.580  0.187  0.187
Cl  0.583  0.154  0.583
Cl  0.583  0.583  0.154
Cl  0.813  0.420  0.813
Cl  0.813  0.813  0.420
Cl  0.846  0.417  0.417


5.
Starting from DFT lattice parameters and positions (PBE), the powder diffractogram of CaAc5Pt3 was simulated for Cu Kα.

Most intense lines, 5° ≤ 2θ ≤ 70°, by angle:
two_theta	I_rel
17.53	43.9
26.63	100.0
34.37	45.6
34.50	29.3
42.78	27.7
43.02	29.5

Crystal structure
a = 7.206 Å, b = 4.453 Å, c = 21.465 Å
α = 90.00°, β = 90.40°, γ = 90.00°
Positions (direct):
Ca  0.202  0.000  0.232
Ca  0.798  0.000  0.768
Ac  0.173  0.000  0.906
Ac  0.230  0.000  0.560
Ac  0.279  0.500  0.392
Ac  0.301  0.500  0.737
Ac  0.318  0.500  0.074
Ac  0.682  0.500  0.926
Ac  0.699  0.500  0.263
Ac  0.721  0.500  0.608
Ac  0.770  0.000  0.440
Ac  0.827  0.000  0.094
Pt  0.000  0.500  0.500
Pt  0.010  0.500  0.168
Pt  0.495  0.000  0.330
Pt  0.500  0.000  0.000
Pt  0.505  0.000  0.670
Pt  0.990  0.500  0.832


6.
Starting from DFT lattice parameters and positions (PBE), the powder diffractogram of RbPu3Br7 was simulated for Cu Kα.

Most intense lines, 5° ≤ 2θ ≤ 70°, by angle:
two_theta	I_rel
12.63	47.2
19.51	47.9
20.39	85.1
26.55	97.9
30.40	47.1
30.96	100.0

Crystal structure
a = 7.283 Å, b = 7.283 Å, c = 7.515 Å
α = 101.65°, β = 101.65°, γ = 97.91°
Positions (direct):
Rb  0.000  0.000  0.000
Pu  0.272  0.728  0.500
Pu  0.500  0.500  0.000
Pu  0.728  0.272  0.500
Br  0.000  0.000  0.500
Br  0.118  0.527  0.771
Br  0.350  0.350  0.289
Br  0.473  0.882  0.229
Br  0.527  0.118  0.771
Br  0.650  0.650  0.711
Br  0.882  0.473  0.229